# 1
For LaNdSi2Os2, DFT lattice parameters and positions (PBE) gives the calculated X-ray powder pattern in this record (Cu Kα (weighted mean of Kα1 and Kα2)).
Peak positions follow from Bragg's law for the DFT cell and can differ from measured ones.

Top 10 peaks for 2θ = 15–90°, sorted by position:
| Position (°2θ) | d/Å | I (rel.) | index |
| --- | --- | --- | --- |
| 24.51 | 3.632 | 38 | 1 0 1 |
| 32.48 | 2.756 | 100 | 1 1 1 |
| 32.99 | 2.715 | 31 | 1 0 2 |
| 38.13 | 2.360 | 26 | 0 0 3 |
| 39.43 | 2.285 | 91 | 1 1 2 |
| 42.74 | 2.116 | 54 | 2 0 0 |
| 58.59 | 1.575 | 30 | 2 0 3 |
| 62.03 | 1.496 | 18 | 2 2 0 |
| 71.79 | 1.315 | 21 | 3 1 1 |
| 76.03 | 1.252 | 27 | 3 1 2 |

Cell and atoms:
Unit cell a=4.232 b=4.232 c=7.081 alpha=90.00 beta=90.00 gamma=90.00
Space group P4mm (No. 99)
Symmetry-distinct sites (fractional):
La: 0.000 0.000 0.000 x1
Nd: 0.500 0.500 0.357 x1
Si: 0.000 0.000 0.500 x1
Si: 0.500 0.500 0.848 x1
Os: 0.000 0.500 0.674 x2

---

# 2
For La2GdNb2N6, DFT lattice parameters and positions (PBE) gives the calculated X-ray powder pattern in this record (Cu Kα (weighted mean of Kα1 and Kα2)).
Peak positions follow from Bragg's law for the DFT cell and can differ from measured ones.

Top 10 peaks for 2θ = 15–90°, sorted by position:
| Position (°2θ) | d/Å | I (rel.) | index |
| --- | --- | --- | --- |
| 22.40 | 3.970 | 9 | 1 0 1 |
| 31.21 | 2.866 | 63 | 1 1 0 |
| 31.66 | 2.826 | 100 | 1 0 5 |
| 38.94 | 2.313 | 12 | 1 0 7 |
| 41.83 | 2.160 | 14 | 1 1 6 |
| 44.72 | 2.026 | 32 | 2 0 0 |
| 55.83 | 1.647 | 40 | 2 1 5 |
| 56.67 | 1.624 | 12 | 1 1 10 |
| 65.10 | 1.433 | 10 | 2 2 0 |
| 73.96 | 1.282 | 11 | 3 1 0 |

Cell and atoms:
Unit cell a=4.053 b=4.053 c=19.714 alpha=90.00 beta=90.00 gamma=90.00
Space group I4/mmm (No. 139)
Symmetry-distinct sites (fractional):
La: 0.000 0.000 0.179 x4
Gd: 0.000 0.000 0.000 x2
Nb: 0.000 0.000 0.403 x4
N: 0.000 0.000 0.303 x4
N: 0.000 0.500 0.079 x8